# Li2TiFeO4
Computed X-ray powder pattern, copper Kα. Input: DFT lattice parameters and positions (PBE+U).
Neutral-atom scattering factors, no anomalous dispersion.

Most intense lines, 10° ≤ 2θ ≤ 90°, by angle:
2θ/deg, intensity
21.72, 64
24.05, 75
30.04, 56
37.37, 28
41.69, 59
44.27, 100
54.43, 19
62.43, 58
64.40, 27
79.70, 26

Atomic structure:
Cell: 4.092 4.092 8.665 Å, 90.00 90.00 90.00°
Space group P4_2/mmc (No. 131)
Inequivalent atoms, fractional coordinates:
Li 0.000 0.000 0.250 x2
Li 0.000 0.500 0.000 x2
Ti 0.000 0.500 0.500 x2
Fe 0.500 0.500 0.250 x2
O 0.000 0.000 0.000 x2
O 0.000 0.500 0.268 x4
O 0.500 0.500 0.000 x2